The following is a simulated powder diffractogram of MgMnVP2O8F2. It was derived from a cell relaxed with GGA+U, using a wavelength of 1.5418 Å.
No peak broadening, texture or thermal motion is included.

Top 10 peaks for 10° ≤ 2θ ≤ 80°, most intense first:
2theta, I/Imax, index
25.28, 1000, 0 1 1
17.34, 661, 0 1 0
28.92, 654, 1 1 -2
23.05, 441, 1 -1 0
36.56, 321, 1 -2 1
27.12, 286, -1 1 1
51.89, 269, 0 2 2
19.23, 245, 1 0 -1
17.53, 192, 0 1 -1
35.56, 180, 2 0 -1

Atomic structure:
a b c (Å): 5.077 5.497 7.526
angles (deg): 109.38 103.82 94.21
Atoms (fractional coordinates):
Mg: 0.000 0.000 0.000
Mn: 0.458 0.491 0.095
V: 0.903 0.980 0.579
P: 0.346 0.102 0.350
P: 0.477 0.845 0.822
O: 0.159 0.806 0.751
O: 0.191 0.113 0.511
O: 0.247 0.832 0.181
O: 0.249 0.298 0.251
O: 0.590 0.638 0.899
O: 0.604 0.115 0.988
O: 0.613 0.841 0.653
O: 0.655 0.169 0.455
F: 0.027 0.255 0.850
F: 0.806 0.684 0.342